Theoretical powder diffraction line list of TbGdAg2S4 for CuKα, from a crystal structure in OQMD, relaxed with PBE.
Neutral-atom scattering factors, no anomalous dispersion.

The 8 most intense peaks (2θ = 5–70°), by angle:
| Position (°2θ) | d (Å) | Rel. int. |
| --- | --- | --- |
| 25.39 | 3.509 | 84.4 |
| 27.13 | 3.287 | 91.9 |
| 28.84 | 3.095 | 41.0 |
| 34.82 | 2.576 | 43.3 |
| 37.49 | 2.399 | 100.0 |
| 38.75 | 2.324 | 76.2 |
| 48.03 | 1.894 | 60.0 |
| 63.31 | 1.469 | 66.8 |

Crystal structure
Unit cell a=6.5734 b=6.5734 c=4.1490 alpha=90.00 beta=90.00 gamma=90.02
Atoms (fractional coordinates):
Tb: 0.0000 0.0000 0.0000
Gd: 0.5000 0.5000 0.4502
Ag: 0.0000 0.5000 0.2251
Ag: 0.5000 0.0000 0.2251
S: 0.2003 0.7997 0.4934
S: 0.2990 0.2990 0.9568
S: 0.7010 0.7010 0.9568
S: 0.7997 0.2003 0.4934